Record 1
Diffraction record for Pm2Ta2Si2C. The XRD peak list is theoretical, not measured: it uses a crystal structure in Alexandria, relaxed with PBE and Cu Kα (weighted mean of Kα1 and Kα2).
Peak positions follow from Bragg's law for the DFT cell and can differ from measured ones.

Atomic structure:
a = 8.292 Å, b = 8.292 Å, c = 8.292 Å
α = 150.26°, β = 150.26°, γ = 42.56°
Sites, in units of the cell vectors:
Pm 0.168 0.168 0.000
Pm 0.832 0.832 0.000
Ta 0.000 0.500 0.500
Ta 0.500 0.000 0.500
Si 0.381 0.381 0.000
Si 0.619 0.619 0.000
C 0.000 0.000 0.000

Largest 10 diffraction maxima, by angle, 2θ from 15° to 90°:
| 2θ/deg | Rel. int. |
| --- | --- |
| 27.18 | 37 |
| 31.91 | 100 |
| 34.83 | 34 |
| 37.90 | 75 |
| 42.48 | 48 |
| 56.06 | 35 |
| 56.62 | 18 |
| 71.10 | 21 |
| 72.79 | 16 |
| 74.68 | 21 |

=====

Record 2
Diffraction record for Nd6TlOs. The XRD peak list is theoretical, not measured: it uses a crystal structure in Alexandria, relaxed with PBE and Cu Kα (weighted mean of Kα1 and Kα2).
Peak positions follow from Bragg's law for the DFT cell and can differ from measured ones.

Atomic structure:
a = 6.651 Å, b = 6.651 Å, c = 6.718 Å
α = 98.99°, β = 98.99°, γ = 105.11°
Sites, in units of the cell vectors:
Nd 0.054 0.686 0.714
Nd 0.283 0.283 0.849
Nd 0.314 0.946 0.286
Nd 0.686 0.054 0.714
Nd 0.717 0.717 0.151
Nd 0.946 0.314 0.286
Tl 0.500 0.500 0.500
Os 0.000 0.000 0.000

Largest 10 diffraction maxima, by angle, 2θ from 15° to 90°:
| 2θ/deg | Rel. int. |
| --- | --- |
| 21.64 | 36 |
| 23.36 | 19 |
| 27.79 | 20 |
| 28.22 | 22 |
| 29.56 | 28 |
| 32.39 | 100 |
| 34.70 | 40 |
| 35.42 | 27 |
| 49.76 | 18 |
| 55.48 | 26 |

=====

Record 3
Diffraction record for Ni5Te3. The XRD peak list is theoretical, not measured: it uses a crystal structure in Alexandria, relaxed with PBE and Cu Kα (weighted mean of Kα1 and Kα2).
Peak positions follow from Bragg's law for the DFT cell and can differ from measured ones.

Atomic structure:
a = 7.085 Å, b = 7.085 Å, c = 7.085 Å
α = 105.23°, β = 105.23°, γ = 118.34°
Sites, in units of the cell vectors:
Ni 0.000 0.500 0.500
Ni 0.154 0.865 0.866
Ni 0.288 0.154 0.289
Ni 0.365 0.654 0.866
Ni 0.499 0.365 0.711
Ni 0.500 0.000 0.500
Ni 0.654 0.788 0.289
Ni 0.788 0.499 0.134
Ni 0.865 0.999 0.711
Ni 0.999 0.288 0.134
Te 0.084 0.890 0.500
Te 0.343 0.343 0.000
Te 0.390 0.584 0.500
Te 0.584 0.084 0.194
Te 0.843 0.843 0.000
Te 0.890 0.390 0.806

Largest 10 diffraction maxima, by angle, 2θ from 15° to 90°:
| 2θ/deg | Rel. int. |
| --- | --- |
| 26.21 | 85 |
| 32.26 | 30 |
| 38.61 | 31 |
| 39.76 | 34 |
| 41.47 | 100 |
| 44.20 | 55 |
| 45.21 | 50 |
| 47.25 | 36 |
| 52.61 | 20 |
| 70.63 | 21 |

=====

Record 4
Diffraction record for Ru3C4. The XRD peak list is theoretical, not measured: it uses a crystal structure in Alexandria, relaxed with PBE and Cu Kα (weighted mean of Kα1 and Kα2).
Peak positions follow from Bragg's law for the DFT cell and can differ from measured ones.

Atomic structure:
a = 4.672 Å, b = 4.672 Å, c = 4.672 Å
α = 90.00°, β = 90.00°, γ = 90.00°
Sites, in units of the cell vectors:
Ru 0.000 0.000 0.500
Ru 0.000 0.500 0.000
Ru 0.500 0.000 0.000
C 0.207 0.207 0.207
C 0.207 0.793 0.793
C 0.793 0.207 0.793
C 0.793 0.793 0.207

Largest 10 diffraction maxima, by angle, 2θ from 15° to 90°:
| 2θ/deg | Rel. int. |
| --- | --- |
| 18.99 | 44 |
| 26.99 | 27 |
| 33.21 | 100 |
| 38.54 | 39 |
| 43.30 | 13 |
| 47.68 | 13 |
| 55.64 | 39 |
| 59.34 | 8 |
| 66.36 | 39 |
| 69.72 | 10 |

=====

Record 5
Diffraction record for AcBiAuS. The XRD peak list is theoretical, not measured: it uses a crystal structure in Alexandria, relaxed with PBE and Cu Kα (weighted mean of Kα1 and Kα2).
Peak positions follow from Bragg's law for the DFT cell and can differ from measured ones.

Atomic structure:
a = 12.177 Å, b = 12.177 Å, c = 12.177 Å
α = 23.07°, β = 23.07°, γ = 23.07°
Sites, in units of the cell vectors:
Ac 0.112 0.112 0.112
Ac 0.888 0.888 0.888
Bi 0.295 0.295 0.295
Bi 0.705 0.705 0.705
Au 0.383 0.383 0.383
Au 0.617 0.617 0.617
S 0.197 0.197 0.197
S 0.803 0.803 0.803

Largest 10 diffraction maxima, by angle, 2θ from 15° to 90°:
| 2θ/deg | Rel. int. |
| --- | --- |
| 21.65 | 19 |
| 23.34 | 69 |
| 24.54 | 26 |
| 30.17 | 34 |
| 32.95 | 74 |
| 36.91 | 100 |
| 48.39 | 56 |
| 50.31 | 23 |
| 61.46 | 21 |
| 64.01 | 23 |

=====

Record 6
Diffraction record for La2SmHoEr2. The XRD peak list is theoretical, not measured: it uses a crystal structure in Alexandria, relaxed with PBE and Cu Kα (weighted mean of Kα1 and Kα2).
Peak positions follow from Bragg's law for the DFT cell and can differ from measured ones.

Atomic structure:
a = 5.714 Å, b = 9.870 Å, c = 7.101 Å
α = 90.00°, β = 90.00°, γ = 90.00°
Sites, in units of the cell vectors:
La 0.000 0.001 0.000
La 0.000 0.999 0.500
La 0.500 0.179 0.250
La 0.500 0.821 0.750
Sm 0.000 0.341 0.749
Sm 0.000 0.659 0.249
Ho 0.500 0.500 0.499
Ho 0.500 0.500 0.999
Er 0.000 0.335 0.249
Er 0.000 0.665 0.749
Er 0.500 0.166 0.750
Er 0.500 0.834 0.250

Largest 10 diffraction maxima, by angle, 2θ from 15° to 90°:
| 2θ/deg | Rel. int. |
| --- | --- |
| 31.02 | 91 |
| 31.35 | 100 |
| 40.56 | 12 |
| 44.68 | 33 |
| 55.58 | 23 |
| 55.65 | 12 |
| 55.77 | 13 |
| 61.52 | 29 |
| 74.12 | 10 |
| 79.32 | 9 |

=====

Record 7
Diffraction record for YGe3Rh. The XRD peak list is theoretical, not measured: it uses a crystal structure in Alexandria, relaxed with PBE and Cu Kα (weighted mean of Kα1 and Kα2).
Peak positions follow from Bragg's law for the DFT cell and can differ from measured ones.

Atomic structure:
a = 5.986 Å, b = 5.630 Å, c = 5.826 Å
α = 90.00°, β = 90.00°, γ = 90.00°
Sites, in units of the cell vectors:
Y 0.000 0.148 0.000
Y 0.500 0.852 0.500
Ge 0.000 0.905 0.567
Ge 0.235 0.317 0.457
Ge 0.265 0.683 0.957
Ge 0.500 0.095 0.067
Ge 0.735 0.683 0.957
Ge 0.765 0.317 0.457
Rh 0.000 0.619 0.265
Rh 0.500 0.381 0.765

Largest 10 diffraction maxima, by angle, 2θ from 15° to 90°:
| 2θ/deg | Rel. int. |
| --- | --- |
| 21.28 | 19 |
| 26.58 | 39 |
| 30.69 | 18 |
| 34.67 | 20 |
| 35.42 | 60 |
| 37.36 | 100 |
| 37.88 | 23 |
| 46.39 | 39 |
| 46.98 | 20 |
| 67.06 | 20 |

=====

Record 8
Diffraction record for CoNiPbCl6. The XRD peak list is theoretical, not measured: it uses a crystal structure in Alexandria, relaxed with PBE and Cu Kα (weighted mean of Kα1 and Kα2).
Peak positions follow from Bragg's law for the DFT cell and can differ from measured ones.

Atomic structure:
a = 6.332 Å, b = 6.332 Å, c = 6.255 Å
α = 90.18°, β = 90.18°, γ = 120.21°
Sites, in units of the cell vectors:
Co 0.000 0.000 0.000
Ni 0.333 0.667 0.000
Pb 0.667 0.333 0.500
Cl 0.040 0.336 0.217
Cl 0.044 0.705 0.780
Cl 0.295 0.956 0.220
Cl 0.300 0.335 0.781
Cl 0.664 0.960 0.783
Cl 0.665 0.700 0.219

Largest 10 diffraction maxima, by angle, 2θ from 15° to 90°:
| 2θ/deg | Rel. int. |
| --- | --- |
| 16.18 | 22 |
| 21.53 | 100 |
| 21.64 | 50 |
| 28.22 | 27 |
| 31.64 | 21 |
| 35.74 | 25 |
| 40.48 | 33 |
| 40.61 | 31 |
| 46.12 | 18 |
| 46.21 | 20 |

=====

Record 9
Diffraction record for Pm3NdDy4. The XRD peak list is theoretical, not measured: it uses a crystal structure in Alexandria, relaxed with PBE and Cu Kα (weighted mean of Kα1 and Kα2).
Peak positions follow from Bragg's law for the DFT cell and can differ from measured ones.

Atomic structure:
a = 3.609 Å, b = 10.124 Å, c = 7.219 Å
α = 90.00°, β = 90.11°, γ = 90.00°
Sites, in units of the cell vectors:
Pm 0.000 0.000 0.000
Pm 0.000 0.000 0.500
Pm 0.000 0.500 0.000
Nd 0.000 0.500 0.500
Dy 0.500 0.249 0.250
Dy 0.500 0.249 0.750
Dy 0.500 0.751 0.250
Dy 0.500 0.751 0.750

Largest 10 diffraction maxima, by angle, 2θ from 15° to 90°:
| 2θ/deg | Rel. int. |
| --- | --- |
| 30.42 | 100 |
| 35.16 | 34 |
| 35.47 | 17 |
| 50.58 | 12 |
| 50.81 | 24 |
| 60.17 | 29 |
| 60.58 | 14 |
| 63.29 | 12 |
| 82.39 | 6 |
| 82.75 | 12 |

=====

Record 10
Diffraction record for KNa2RhO4. The XRD peak list is theoretical, not measured: it uses a crystal structure in Alexandria, relaxed with PBE and Cu Kα (weighted mean of Kα1 and Kα2).
Peak positions follow from Bragg's law for the DFT cell and can differ from measured ones.

Atomic structure:
a = 6.866 Å, b = 6.866 Å, c = 7.055 Å
α = 120.79°, β = 120.79°, γ = 75.07°
Sites, in units of the cell vectors:
K 0.000 0.500 0.000
K 0.500 0.000 0.500
Na 0.000 0.000 0.000
Na 0.000 0.000 0.500
Na 0.000 0.500 0.500
Na 0.500 0.000 0.000
Rh 0.500 0.500 0.000
Rh 0.500 0.500 0.500
O 0.272 0.273 0.275
O 0.273 0.272 0.775
O 0.274 0.726 0.523
O 0.274 0.726 0.977
O 0.726 0.274 0.023
O 0.726 0.274 0.477
O 0.727 0.728 0.225
O 0.728 0.727 0.725

Largest 10 diffraction maxima, by angle, 2θ from 15° to 90°:
| 2θ/deg | Rel. int. |
| --- | --- |
| 15.02 | 100 |
| 25.25 | 31 |
| 29.50 | 38 |
| 30.31 | 36 |
| 33.23 | 98 |
| 33.36 | 32 |
| 43.26 | 25 |
| 43.52 | 25 |
| 51.83 | 14 |
| 55.66 | 26 |